# 1
# PmAgPdPt
Computed powder diffractogram, λ = 1.5418 Å (Cu Kα). Input: a crystal structure in Alexandria, relaxed with GGA-PBE.
Intensities are scaled so that the largest is 100.

Most intense lines, 15° ≤ 2θ ≤ 90°, sorted by position:
2θ 36.66, intensity 100, hkl 1 1 1
2θ 40.70, intensity 19, hkl 0 0 2
2θ 42.31, intensity 17, hkl 0 2 0
2θ 44.68, intensity 14, hkl 2 0 0
2θ 60.16, intensity 12, hkl 0 2 2
2θ 62.02, intensity 11, hkl 2 0 2
2θ 71.43, intensity 14, hkl 1 1 3
2θ 73.67, intensity 13, hkl 1 3 1
2θ 77.04, intensity 11, hkl 3 1 1
2θ 77.96, intensity 11, hkl 2 2 2

Atomic structure:
abc: 4.0562 4.2721 4.4337
angles: 90.00 90.00 90.00
Space group Pmmm (No. 47)
One atom of each set of equivalent atoms:
Pm: 0.0000 0.0000 0.0000 x1
Ag: 0.0000 0.5000 0.5000 x1
Pd: 0.5000 0.0000 0.5000 x1
Pt: 0.5000 0.5000 0.0000 x1

=====

# 2
# Pr2AsS6
Computed powder diffractogram, λ = 1.5418 Å (Cu Kα). Input: a crystal structure in Alexandria, relaxed with GGA-PBE.
Intensities are scaled so that the largest is 100.

Most intense lines, 15° ≤ 2θ ≤ 90°, sorted by position:
2θ 20.11, intensity 100, hkl 1 1 0
2θ 25.92, intensity 63, hkl 1 0 3
2θ 29.66, intensity 14, hkl 1 1 3
2θ 38.96, intensity 78, hkl 2 1 3
2θ 40.87, intensity 24, hkl 2 2 0
2θ 45.95, intensity 14, hkl 3 1 0
2θ 48.81, intensity 18, hkl 1 1 6
2θ 49.03, intensity 31, hkl 3 0 3
2θ 61.60, intensity 13, hkl 2 2 6
2θ 65.68, intensity 13, hkl 4 1 3

Atomic structure:
abc: 6.2459 6.2459 12.3514
angles: 90.00 90.00 90.00
Space group P4_2/mnm (No. 136)
One atom of each set of equivalent atoms:
Pr: 0.0000 0.0000 0.1657 x4
As: 0.0000 0.0000 0.5000 x2
S: 0.1809 0.1809 0.3566 x8
S: 0.2268 0.2268 0.0000 x4

=====

Please write out number 1 again, unchanged.
# PmAgPdPt
Computed powder diffractogram, λ = 1.5418 Å (Cu Kα). Input: a crystal structure in Alexandria, relaxed with GGA-PBE.
Intensities are scaled so that the largest is 100.

Most intense lines, 15° ≤ 2θ ≤ 90°, sorted by position:
2θ 36.66, intensity 100, hkl 1 1 1
2θ 40.70, intensity 19, hkl 0 0 2
2θ 42.31, intensity 17, hkl 0 2 0
2θ 44.68, intensity 14, hkl 2 0 0
2θ 60.16, intensity 12, hkl 0 2 2
2θ 62.02, intensity 11, hkl 2 0 2
2θ 71.43, intensity 14, hkl 1 1 3
2θ 73.67, intensity 13, hkl 1 3 1
2θ 77.04, intensity 11, hkl 3 1 1
2θ 77.96, intensity 11, hkl 2 2 2

Atomic structure:
abc: 4.0562 4.2721 4.4337
angles: 90.00 90.00 90.00
Space group Pmmm (No. 47)
One atom of each set of equivalent atoms:
Pm: 0.0000 0.0000 0.0000 x1
Ag: 0.0000 0.5000 0.5000 x1
Pd: 0.5000 0.0000 0.5000 x1
Pt: 0.5000 0.5000 0.0000 x1